(1)
Structure and simulated powder X-ray diffraction pattern of Dy2ScSn2 (a structure optimized by DFT (GGA-PBE); Cu Kα).
Kinematic intensities with the Lorentz-polarization factor, no thermal factor.

Cell and atoms:
```
Dy2ScSn2
1.0
2.462 -8.685 0.000
2.462 8.685 0.000
0.000 0.000 6.380
Dy Sc Sn
4 2 4
direct
0.000 0.000 0.000 Dy
0.000 0.000 0.500 Dy
0.195 0.805 0.751 Dy
0.805 0.195 0.251 Dy
0.399 0.601 0.750 Sc
0.601 0.399 0.250 Sc
0.184 0.816 0.250 Sn
0.423 0.577 0.250 Sn
0.577 0.423 0.750 Sn
0.816 0.184 0.750 Sn
```

Largest 10 diffraction maxima, sorted by position, 2θ = 5–70°:
Position (°2θ), intensity
28.0, 18
29.8, 29
31.5, 100
33.9, 21
36.5, 40
37.0, 71
47.8, 16
50.9, 22
64.2, 22
67.3, 23

(2)
Structure and simulated powder X-ray diffraction pattern of ZnCu3P (a structure optimized by DFT (GGA-PBE); Cu Kα).
Kinematic intensities with the Lorentz-polarization factor, no thermal factor.

Cell and atoms:
```
ZnCu3P
1.0
4.382 0.000 0.000
0.000 4.382 0.000
0.000 0.000 4.382
Zn Cu P
1 3 1
direct
0.000 0.000 0.000 Zn
0.000 0.500 0.500 Cu
0.500 0.000 0.500 Cu
0.500 0.500 0.000 Cu
0.500 0.500 0.500 P
```

Largest 9 diffraction maxima, sorted by position, 2θ = 5–70°:
Position (°2θ), intensity
20.3, 5
28.8, 5
35.5, 100
41.2, 75
46.3, 2
51.0, 2
59.7, 47
63.7, 1
67.6, 1

(3)
Structure and simulated powder X-ray diffraction pattern of Y2PuCd6 (a structure optimized by DFT (GGA-PBE); Cu Kα).
Kinematic intensities with the Lorentz-polarization factor, no thermal factor.

Cell and atoms:
```
Y2PuCd6
1.0
8.737 0.000 0.000
-4.369 7.567 0.000
0.000 0.000 3.339
Y Pu Cd
2 1 6
direct
0.333 0.667 0.000 Y
0.667 0.333 0.000 Y
0.000 0.000 0.000 Pu
0.000 0.335 0.500 Cd
0.000 0.665 0.500 Cd
0.335 0.000 0.500 Cd
0.335 0.335 0.500 Cd
0.665 0.000 0.500 Cd
0.665 0.665 0.500 Cd
```

Largest 10 diffraction maxima, sorted by position, 2θ = 5–70°:
Position (°2θ), intensity
11.7, 18
29.2, 5
33.8, 100
35.6, 92
45.0, 6
49.9, 33
55.0, 9
62.8, 32
63.9, 16
67.3, 27

(4)
Structure and simulated powder X-ray diffraction pattern of Tb3HoRh2 (a structure optimized by DFT (GGA-PBE); Cu Kα).
Kinematic intensities with the Lorentz-polarization factor, no thermal factor.

Cell and atoms:
```
Tb3HoRh2
1.0
8.060 -2.125 0.000
8.060 2.125 0.000
-4.768 0.000 9.626
Tb Ho Rh
6 2 4
direct
0.054 0.054 0.214 Tb
0.210 0.210 0.593 Tb
0.333 0.333 0.969 Tb
0.667 0.667 0.031 Tb
0.790 0.790 0.407 Tb
0.946 0.946 0.786 Tb
0.427 0.427 0.331 Ho
0.573 0.573 0.669 Ho
0.137 0.137 0.846 Rh
0.383 0.383 0.586 Rh
0.617 0.617 0.414 Rh
0.863 0.863 0.154 Rh
```

Largest 10 diffraction maxima, sorted by position, 2θ = 5–70°:
Position (°2θ), intensity
17.0, 19
24.8, 17
26.4, 22
26.8, 63
33.3, 100
33.4, 44
34.4, 16
42.2, 52
42.5, 37
55.2, 21

(5)
Structure and simulated powder X-ray diffraction pattern of Sr2Cu2Au15 (a structure optimized by DFT (GGA-PBE); Cu Kα).
Kinematic intensities with the Lorentz-polarization factor, no thermal factor.

Cell and atoms:
```
Sr2Cu2Au15
1.0
4.819 2.782 4.798
-4.819 2.782 4.798
0.000 -5.564 4.798
Sr Cu Au
2 2 15
direct
0.162 0.162 0.162 Sr
0.838 0.838 0.838 Sr
0.412 0.412 0.412 Cu
0.588 0.588 0.588 Cu
0.000 0.500 0.500 Au
0.151 0.151 0.652 Au
0.151 0.652 0.151 Au
0.203 0.500 0.797 Au
0.203 0.797 0.500 Au
0.348 0.849 0.849 Au
0.500 0.000 0.500 Au
0.500 0.203 0.797 Au
0.500 0.500 0.000 Au
0.500 0.797 0.203 Au
0.652 0.151 0.151 Au
0.797 0.203 0.500 Au
0.797 0.500 0.203 Au
0.849 0.348 0.849 Au
0.849 0.849 0.348 Au
```

Largest 10 diffraction maxima, sorted by position, 2θ = 5–70°:
Position (°2θ), intensity
18.4, 48
37.4, 100
37.5, 30
38.0, 12
42.0, 72
42.1, 18
53.9, 12
60.8, 12
67.3, 15
67.6, 11

(6)
Structure and simulated powder X-ray diffraction pattern of Ac2YPd2O6 (a structure optimized by DFT (GGA-PBE); Cu Kα).
Kinematic intensities with the Lorentz-polarization factor, no thermal factor.

Cell and atoms:
```
Ac2YPd2O6
1.0
3.107 1.794 5.610
-3.107 1.794 5.610
0.000 -3.587 5.610
Ac Y Pd O
2 1 2 6
direct
0.210 0.210 0.210 Ac
0.790 0.790 0.790 Ac
0.000 0.000 0.000 Y
0.409 0.409 0.409 Pd
0.591 0.591 0.591 Pd
0.194 0.758 0.758 O
0.242 0.242 0.806 O
0.242 0.806 0.242 O
0.758 0.194 0.758 O
0.758 0.758 0.194 O
0.806 0.242 0.242 O
```

Largest 10 diffraction maxima, sorted by position, 2θ = 5–70°:
Position (°2θ), intensity
15.8, 11
19.6, 13
28.7, 100
31.3, 73
43.0, 37
50.9, 23
52.6, 39
57.4, 12
59.5, 18
68.8, 16

(7)
Structure and simulated powder X-ray diffraction pattern of Cs2SrSbSe4 (a structure optimized by DFT (GGA-PBE); Cu Kα).
Kinematic intensities with the Lorentz-polarization factor, no thermal factor.

Cell and atoms:
```
Cs2SrSbSe4
1.0
0.000 7.696 13.476
3.559 0.000 13.476
3.559 7.696 0.000
Cs Sr Sb Se
4 2 2 8
direct
0.059 0.059 0.691 Cs
0.309 0.309 0.941 Cs
0.691 0.691 0.059 Cs
0.941 0.941 0.309 Cs
0.125 0.125 0.125 Sr
0.875 0.875 0.875 Sr
0.375 0.375 0.375 Sb
0.625 0.625 0.625 Sb
0.001 0.353 0.464 Se
0.318 0.536 0.647 Se
0.353 0.001 0.682 Se
0.464 0.682 0.001 Se
0.536 0.318 0.999 Se
0.647 0.999 0.318 Se
0.682 0.464 0.353 Se
0.999 0.647 0.536 Se
```

Largest 10 diffraction maxima, sorted by position, 2θ = 5–70°:
Position (°2θ), intensity
13.1, 59
22.9, 65
23.6, 100
27.1, 65
27.6, 45
32.1, 51
40.5, 23
42.1, 36
43.5, 33
49.1, 30

(8)
Structure and simulated powder X-ray diffraction pattern of TaV2Si6 (a structure optimized by DFT (GGA-PBE); Cu Kα).
Kinematic intensities with the Lorentz-polarization factor, no thermal factor.

Cell and atoms:
```
TaV2Si6
1.0
2.341 -4.016 0.000
2.341 4.016 0.000
0.000 0.000 6.452
Ta V Si
1 2 6
direct
0.000 0.000 0.000 Ta
0.000 0.500 0.669 V
0.500 0.000 0.331 V
0.177 0.345 0.340 Si
0.338 0.662 0.000 Si
0.345 0.177 0.660 Si
0.655 0.823 0.660 Si
0.662 0.338 0.000 Si
0.823 0.655 0.340 Si
```

Largest 10 diffraction maxima, sorted by position, 2θ = 5–70°:
Position (°2θ), intensity
13.7, 62
22.0, 56
26.0, 94
26.1, 55
35.6, 41
41.0, 68
41.3, 100
42.0, 54
48.0, 41
48.3, 64

(9)
Structure and simulated powder X-ray diffraction pattern of CeZnInIr (a structure optimized by DFT (GGA-PBE); Cu Kα).
Kinematic intensities with the Lorentz-polarization factor, no thermal factor.

Cell and atoms:
```
CeZnInIr
1.0
6.848 0.000 0.000
0.000 6.848 0.000
0.000 0.000 6.848
Ce Zn In Ir
4 4 4 4
direct
0.000 0.000 0.000 Ce
0.000 0.500 0.500 Ce
0.500 0.000 0.500 Ce
0.500 0.500 0.000 Ce
0.250 0.250 0.750 Zn
0.250 0.750 0.250 Zn
0.750 0.250 0.250 Zn
0.750 0.750 0.750 Zn
0.000 0.000 0.500 In
0.000 0.500 0.000 In
0.500 0.000 0.000 In
0.500 0.500 0.500 In
0.250 0.250 0.250 Ir
0.250 0.750 0.750 Ir
0.750 0.250 0.750 Ir
0.750 0.750 0.250 Ir
```

Largest 6 diffraction maxima, sorted by position, 2θ = 5–70°:
Position (°2θ), intensity
22.5, 13
37.1, 100
43.8, 7
53.5, 17
58.8, 3
66.9, 35

(10)
Structure and simulated powder X-ray diffraction pattern of Er3Ag2C (a structure optimized by DFT (GGA-PBE); Cu Kα).
Kinematic intensities with the Lorentz-polarization factor, no thermal factor.

Cell and atoms:
```
Er3Ag2C
1.0
4.974 0.000 0.000
0.000 14.375 0.000
0.000 0.000 3.551
Er Ag C
6 4 2
direct
0.000 0.000 0.000 Er
0.000 0.381 0.500 Er
0.000 0.619 0.500 Er
0.500 0.119 0.500 Er
0.500 0.500 0.000 Er
0.500 0.881 0.500 Er
0.000 0.203 0.000 Ag
0.000 0.797 0.000 Ag
0.500 0.297 0.000 Ag
0.500 0.703 0.000 Ag
0.000 0.500 0.000 C
0.500 0.000 0.000 C
```

Largest 10 diffraction maxima, sorted by position, 2θ = 5–70°:
Position (°2θ), intensity
31.6, 88
35.5, 53
36.1, 100
36.3, 14
51.5, 14
51.6, 36
62.1, 13
64.5, 36
64.9, 14
66.9, 15

(11)
Structure and simulated powder X-ray diffraction pattern of Li2TlCl4 (a structure optimized by DFT (GGA-PBE); Cu Kα).
Kinematic intensities with the Lorentz-polarization factor, no thermal factor.

Cell and atoms:
```
Li2TlCl4
1.0
5.617 0.000 0.000
0.000 5.617 0.000
0.000 0.000 6.176
Li Tl Cl
2 1 4
direct
0.000 0.500 0.000 Li
0.500 0.000 0.000 Li
0.000 0.000 0.500 Tl
0.266 0.266 0.784 Cl
0.266 0.734 0.216 Cl
0.734 0.266 0.216 Cl
0.734 0.734 0.784 Cl
```

Largest 10 diffraction maxima, sorted by position, 2θ = 5–70°:
Position (°2θ), intensity
14.3, 35
15.8, 82
21.4, 100
22.4, 39
26.7, 93
33.1, 37
35.1, 34
35.7, 31
38.7, 43
43.6, 43